This entry pairs a crystal structure of EuDyN with its simulated powder XRD pattern. Radiation: Cu Kα (λ = 1.5418 Å). Structure: a crystal structure in Alexandria, relaxed with GGA-PBE.

Cell and atoms:
Cell lengths 3.5738, 3.5738, 6.3342 Å; angles 90.00, 90.00, 120.00 degrees
Space group P3m1 (No. 156)
One atom of each set of equivalent atoms:
1 Eu 0.0000 0.0000 0.0000 [1 per cell]
2 Dy 0.3333 0.6667 0.4373 [1 per cell]
3 N 0.6667 0.3333 0.2652 [1 per cell]

Principal peaks in the range 10° ≤ 2θ ≤ 90°, by angle:
two_theta  Rel. int.  h k l
13.98  104  0 0 1
28.18  254  0 0 2
28.85  189  1 0 0
32.19  1000  0 1 1
40.76  259  1 0 2
51.12  202  1 1 0
52.46  212  0 1 3
59.39  193  1 1 2
61.70  155  2 0 1
84.16  133  1 2 1

---

This entry pairs a crystal structure of EuDy2O4 with its simulated powder XRD pattern. Radiation: Cu Kα (λ = 1.5418 Å). Structure: a crystal structure in Alexandria, relaxed with GGA-PBE.

Cell and atoms:
Cell lengths 10.068, 3.421, 11.974 Å; angles 90.00, 90.00, 90.00 degrees
Space group Pnma (No. 62)
One atom of each set of equivalent atoms:
1 Eu 0.248 0.250 0.149 [4 per cell]
2 Dy 0.077 0.250 0.889 [4 per cell]
3 Dy 0.078 0.250 0.388 [4 per cell]
4 O 0.013 0.750 0.784 [4 per cell]
5 O 0.076 0.250 0.578 [4 per cell]
6 O 0.128 0.750 0.020 [4 per cell]
7 O 0.212 0.750 0.322 [4 per cell]

Principal peaks in the range 10° ≤ 2θ ≤ 90°, by angle:
two_theta  Rel. int.  h k l
29.85  480  0 0 4
30.54  1000  3 0 2
31.40  652  1 1 2
31.62  315  2 1 0
35.70  204  1 1 3
44.05  377  2 1 4
44.70  183  4 1 0
53.41  185  3 0 6
54.69  280  6 0 0
62.94  263  3 2 2

---

This entry pairs a crystal structure of PrEuDy with its simulated powder XRD pattern. Radiation: Cu Kα (λ = 1.5418 Å). Structure: a crystal structure in Alexandria, relaxed with GGA-PBE.

Cell and atoms:
Cell lengths 3.715, 3.715, 15.640 Å; angles 90.00, 90.00, 90.00 degrees
Space group I4mm (No. 107)
One atom of each set of equivalent atoms:
1 Pr 0.000 0.000 0.000 [2 per cell]
2 Eu 0.000 0.000 0.323 [2 per cell]
3 Dy 0.000 0.000 0.652 [2 per cell]

Principal peaks in the range 10° ≤ 2θ ≤ 90°, by angle:
two_theta  Rel. int.  h k l
29.52  1000  1 0 3
34.13  346  1 1 0
34.41  161  0 0 6
49.04  125  2 0 0
49.24  234  1 1 6
58.28  293  2 1 3
58.65  130  1 0 9
61.27  121  2 0 6
79.56  60  3 0 3
79.87  107  2 1 9

---

This entry pairs a crystal structure of EuDy3Ru with its simulated powder XRD pattern. Radiation: Cu Kα (λ = 1.5418 Å). Structure: a crystal structure in Alexandria, relaxed with GGA-PBE.

Cell and atoms:
Cell lengths 5.449, 5.449, 5.449 Å; angles 90.00, 90.00, 90.00 degrees
Space group Pm-3m (No. 221)
One atom of each set of equivalent atoms:
1 Eu 0.000 0.000 0.000 [1 per cell]
2 Dy 0.000 0.500 0.500 [3 per cell]
3 Ru 0.500 0.500 0.500 [1 per cell]

Principal peaks in the range 10° ≤ 2θ ≤ 90°, by angle:
two_theta  Rel. int.  h k l
16.27  132  1 0 0
28.37  1000  1 1 1
32.87  993  2 0 0
47.18  725  2 2 0
55.97  456  3 1 1
58.69  252  2 2 2
68.93  116  4 0 0
76.15  186  3 3 1
78.50  325  4 2 0
87.75  253  4 2 2

---

This entry pairs a crystal structure of Eu3DySb3 with its simulated powder XRD pattern. Radiation: Cu Kα (λ = 1.5418 Å). Structure: a crystal structure in Alexandria, relaxed with GGA-PBE.

Cell and atoms:
Cell lengths 9.612, 13.484, 8.342 Å; angles 90.00, 125.05, 90.00 degrees
Space group Cc (No. 9)
One atom of each set of equivalent atoms:
1 Eu 0.000 0.001 0.000 [4 per cell]
2 Eu 0.101 0.248 0.213 [4 per cell]
3 Eu 0.313 0.180 0.847 [4 per cell]
4 Dy 0.066 0.428 0.852 [4 per cell]
5 Sb 0.237 0.383 0.601 [4 per cell]
6 Sb 0.322 0.059 0.485 [4 per cell]
7 Sb 0.426 0.310 0.223 [4 per cell]

Principal peaks in the range 10° ≤ 2θ ≤ 90°, by angle:
two_theta  Rel. int.  h k l
29.38  1000  1 3 1
29.44  219  1 3 -2
29.55  228  0 4 1
34.81  322  2 2 1
34.91  177  3 1 -3
35.04  300  3 3 -1
35.18  175  1 5 0
46.13  115  2 2 -4
59.25  127  6 0 -2
61.00  98  2 6 2

---

This entry pairs a crystal structure of TbEuDy with its simulated powder XRD pattern. Radiation: Cu Kα (λ = 1.5418 Å). Structure: a crystal structure in Alexandria, relaxed with GGA-PBE.

Cell and atoms:
Cell lengths 3.644, 3.644, 15.498 Å; angles 90.00, 90.00, 90.00 degrees
Space group I4mm (No. 107)
One atom of each set of equivalent atoms:
1 Tb 0.000 0.000 0.000 [2 per cell]
2 Eu 0.000 0.000 0.675 [2 per cell]
3 Dy 0.000 0.000 0.350 [2 per cell]

Principal peaks in the range 10° ≤ 2θ ≤ 90°, by angle:
two_theta  Rel. int.  h k l
30.01  1000  1 0 3
34.79  506  1 1 0
50.02  354  2 0 0
59.36  127  1 0 9
59.48  289  2 1 3
62.37  119  2 0 6
81.28  104  2 1 9
81.38  60  3 0 3
83.78  43  1 1 12
83.96  109  3 1 0

---

This entry pairs a crystal structure of EuDyZn4 with its simulated powder XRD pattern. Radiation: Cu Kα (λ = 1.5418 Å). Structure: a crystal structure in Alexandria, relaxed with GGA-PBE.

Cell and atoms:
Cell lengths 7.837, 7.837, 7.837 Å; angles 90.00, 90.00, 90.00 degrees
Space group F-43m (No. 216)
One atom of each set of equivalent atoms:
1 Eu 0.000 0.000 0.000 [4 per cell]
2 Dy 0.250 0.250 0.250 [4 per cell]
3 Zn 0.124 0.124 0.624 [16 per cell]

Principal peaks in the range 10° ≤ 2θ ≤ 90°, by angle:
two_theta  Rel. int.  h k l
19.62  78  1 1 1
32.31  574  2 2 0
38.09  1000  3 1 1
39.85  181  2 2 2
57.62  221  4 2 2
61.48  320  5 1 1
67.63  240  4 4 0
76.95  95  6 2 0
80.34  110  5 3 3
81.47  60  6 2 2

---

This entry pairs a crystal structure of DyF with its simulated powder XRD pattern. Radiation: Cu Kα (λ = 1.5418 Å). Structure: a crystal structure in Alexandria, relaxed with GGA-PBE.

Cell and atoms:
Cell lengths 3.700, 3.700, 5.744 Å; angles 90.00, 90.00, 90.00 degrees
Space group P4/nmm (No. 129, origin choice 2)
One atom of each set of equivalent atoms:
1 Dy 0.250 0.250 0.233 [2 per cell]
2 F 0.250 0.750 0.500 [2 per cell]

Principal peaks in the range 10° ≤ 2θ ≤ 90°, by angle:
two_theta  Rel. int.  h k l
28.70  1000  1 0 1
31.14  148  0 0 2
34.27  243  1 1 0
46.98  314  1 1 2
49.25  142  2 0 0
53.92  159  1 0 3
58.00  279  2 1 1
59.42  101  2 0 2
76.01  115  2 1 3
79.47  56  3 0 1

---

This entry pairs a crystal structure of DyHf2F11 with its simulated powder XRD pattern. Radiation: Cu Kα (λ = 1.5418 Å). Structure: a crystal structure in Alexandria, relaxed with GGA-PBE.

Cell and atoms:
Cell lengths 7.740, 9.914, 10.689 Å; angles 90.00, 90.00, 90.00 degrees
Space group Ibam (No. 72)
One atom of each set of equivalent atoms:
1 Dy 0.000 0.000 0.250 [4 per cell]
2 Hf 0.137 0.318 0.000 [8 per cell]
3 F 0.000 0.500 0.000 [4 per cell]
4 F 0.101 0.181 0.139 [16 per cell]
5 F 0.129 0.283 0.500 [8 per cell]
6 F 0.231 0.076 0.367 [16 per cell]

Principal peaks in the range 10° ≤ 2θ ≤ 90°, by angle:
two_theta  Rel. int.  h k l
16.59  315  0 0 2
22.11  1000  1 1 2
22.87  493  1 2 1
24.49  763  0 2 2
26.09  798  2 1 1
29.39  291  1 3 0
45.16  475  1 3 4
47.85  415  3 3 2
50.15  201  4 0 2
50.49  213  1 5 2

---

This entry pairs a crystal structure of DyHfF7 with its simulated powder XRD pattern. Radiation: Cu Kα (λ = 1.5418 Å). Structure: a crystal structure in Alexandria, relaxed with GGA-PBE.

Cell and atoms:
Cell lengths 6.059, 5.810, 8.275 Å; angles 90.00, 103.21, 90.00 degrees
Space group P2_1 (No. 4)
One atom of each set of equivalent atoms:
1 Dy 0.153 0.000 0.189 [2 per cell]
2 Hf 0.317 0.004 0.726 [2 per cell]
3 F 0.023 0.726 0.009 [2 per cell]
4 F 0.082 0.756 0.707 [2 per cell]
5 F 0.091 0.262 0.707 [2 per cell]
6 F 0.271 0.002 0.478 [2 per cell]
7 F 0.363 0.008 0.973 [2 per cell]
8 F 0.431 0.271 0.255 [2 per cell]
9 F 0.439 0.744 0.261 [2 per cell]

Principal peaks in the range 10° ≤ 2θ ≤ 90°, by angle:
two_theta  Rel. int.  h k l
21.47  1000  1 1 0
22.07  397  0 0 2
22.52  170  1 1 -1
25.73  200  1 1 1
28.33  317  1 1 -2
30.78  147  0 2 0
43.36  166  2 2 -1
47.05  128  2 2 1
47.68  149  3 1 -1
51.22  185  2 1 -4

---

This entry pairs a crystal structure of DyHg2F8 with its simulated powder XRD pattern. Radiation: Cu Kα (λ = 1.5418 Å). Structure: a crystal structure in Alexandria, relaxed with GGA-PBE.

Cell and atoms:
Cell lengths 7.0579, 7.0579, 4.4322 Å; angles 90.00, 90.00, 120.00 degrees
Space group P-3 (No. 147)
One atom of each set of equivalent atoms:
1 Dy 0.0000 0.0000 0.0000 [1 per cell]
2 Hg 0.3333 0.6667 0.7399 [2 per cell]
3 F 0.1524 0.3064 0.7442 [6 per cell]
4 F 0.3333 0.6667 0.2404 [2 per cell]

Principal peaks in the range 10° ≤ 2θ ≤ 90°, by angle:
two_theta  Rel. int.  h k l
24.81  945  1 0 1
25.24  1000  1 1 0
35.69  197  0 2 1
43.44  187  0 1 2
44.21  456  2 1 1
44.47  222  3 0 0
50.90  177  2 0 2
51.81  218  2 2 0
57.64  193  3 -2 2
58.27  182  4 -3 1

---

This entry pairs a crystal structure of DyHg3F8 with its simulated powder XRD pattern. Radiation: Cu Kα (λ = 1.5418 Å). Structure: a crystal structure in Alexandria, relaxed with GGA-PBE.

Cell and atoms:
Cell lengths 5.687, 5.687, 5.687 Å; angles 90.00, 90.00, 90.00 degrees
Space group Pm-3m (No. 221)
One atom of each set of equivalent atoms:
1 Dy 0.000 0.000 0.000 [1 per cell]
2 Hg 0.000 0.500 0.500 [3 per cell]
3 F 0.236 0.236 0.236 [8 per cell]

Principal peaks in the range 10° ≤ 2θ ≤ 90°, by angle:
two_theta  Rel. int.  h k l
27.16  1000  1 1 1
31.46  323  2 0 0
45.09  550  2 2 0
53.43  476  3 1 1
56.01  96  2 2 2
65.67  86  4 0 0
72.43  196  3 3 1
74.63  134  4 2 0
83.22  177  4 2 2
89.55  161  5 1 1

---

This entry pairs a crystal structure of KDyHgF6 with its simulated powder XRD pattern. Radiation: Cu Kα (λ = 1.5418 Å). Structure: a crystal structure in Alexandria, relaxed with GGA-PBE.

Cell and atoms:
Cell lengths 6.1847, 6.1847, 10.5571 Å; angles 90.00, 90.00, 120.00 degrees
Space group P-31c (No. 163)
One atom of each set of equivalent atoms:
1 K 0.0000 0.0000 0.0000 [2 per cell]
2 Dy 0.3333 0.6667 0.2500 [2 per cell]
3 Hg 0.3333 0.6667 0.7500 [2 per cell]
4 F 0.0183 0.3764 0.1408 [12 per cell]

Principal peaks in the range 10° ≤ 2θ ≤ 90°, by angle:
two_theta  Rel. int.  h k l
16.55  513  1 0 0
16.80  845  0 0 2
23.67  1000  1 0 2
28.87  709  1 1 0
33.59  849  1 1 2
37.66  275  2 0 2
45.17  725  1 1 4
48.14  290  2 1 2
51.16  297  3 0 0
54.24  245  3 0 2